Starting from a cell relaxed with GGA+U, the PXRD pattern of VMoO6 was calculated for copper Kα.
No peak broadening, texture or thermal motion is included.

Largest 8 diffraction maxima, in order of falling intensity, 5° ≤ 2θ ≤ 70°:
2theta, Rel. int.
18.3, 100
25.2, 73
41.8, 36
32.2, 27
54.9, 18
43.4, 18
65.5, 16
48.0, 13

Cell and atoms:
```
8
Lattice="2.3883 -4.8514 0.0000 2.3883 4.8514 0.0000 -1.2394 0.0000 4.6124" Properties=species:S:1:pos:R:3 pbc="T T T"
V 0.0000 0.0000 0.0000
Mo 1.7686 0.0000 2.3062
O 0.8636 1.2600 1.1320
O 0.2454 0.0000 3.4774
O 0.8636 -1.2600 1.1320
O 2.6737 1.2600 3.4804
O 3.2919 0.0000 1.1349
O 2.6737 -1.2600 3.4804
```

=====

Starting from a cell relaxed with GGA+U, the PXRD pattern of NaCoBi2O6 was calculated for copper Kα.
No peak broadening, texture or thermal motion is included.

Largest 8 diffraction maxima, in order of falling intensity, 5° ≤ 2θ ≤ 70°:
2theta, Rel. int.
22.0, 100
29.8, 75
32.7, 67
48.5, 45
44.9, 27
56.6, 27
39.8, 24
52.5, 22

Cell and atoms:
```
10
Lattice="2.7351 1.5791 5.1558 -2.7351 1.5791 5.1558 0.0000 -3.1583 5.1558" Properties=species:S:1:pos:R:3 pbc="T T T"
Na 0.0000 0.0000 0.0000
Co 0.0000 0.0000 7.3079
Bi 0.0000 0.0000 4.1927
Bi 0.0000 0.0000 12.2184
O -1.5227 -0.0630 6.1104
O -0.9993 -1.2924 8.3843
O 0.8159 -1.2872 6.1104
O -0.6196 1.5116 8.3843
O 0.7068 1.3502 6.1104
O 1.6189 -0.2193 8.3843
```